For Sr2TaMnO6, a crystal structure in the Materials Project, relaxed with GGA+U gives the theoretical PXRD pattern in this record (Cu Kα X-rays).
Lines closer than 0.1° are merged.

Crystal structure
```
data_Sr2TaMnO6
_chemical_formula_sum 'Sr16 Ta8 Mn8 O48'
_symmetry_space_group_name_H-M 'I -4 m 2'
_symmetry_Int_Tables_number 119
_symmetry_space_group_name_Hall 'I -4 -2'
_cell_length_a 7.8741
_cell_length_b 7.8741
_cell_length_c 16.7666
_cell_angle_alpha 90.00
_cell_angle_beta 90.00
_cell_angle_gamma 90.00
loop_
_atom_site_label
_atom_site_type_symbol
_atom_site_fract_x
_atom_site_fract_y
_atom_site_fract_z
Sr1 Sr 0.2500 0.2500 0.1250
Ta1 Ta 0.0000 0.0000 0.2497
Ta2 Ta 0.0000 0.5000 0.0001
Mn1 Mn 0.0000 0.0000 0.0000
Mn2 Mn 0.0000 0.0000 0.5000
Mn3 Mn 0.0000 0.5000 0.2500
Mn4 Mn 0.0000 0.5000 0.7500
O1 O 0.0000 0.0000 0.1313
O2 O 0.0000 0.0000 0.3680
O3 O 0.0000 0.2470 0.0002
O4 O 0.0000 0.2469 0.4999
O5 O 0.0000 0.2531 0.2496
O6 O 0.0000 0.2531 0.7504
O7 O 0.0000 0.5000 0.1185
O8 O 0.0000 0.5000 0.6182
```

Largest 10 diffraction maxima, sorted by position, 2θ = 15–90°:
| 2theta | d/Å | intensity | h k l |
| --- | --- | --- | --- |
| 19.1 | 4.638 | 34 | 1 1 2 |
| 31.2 | 2.870 | 100 | 2 0 4 |
| 32.2 | 2.784 | 46 | 2 2 0 |
| 37.7 | 2.387 | 13 | 3 1 2 |
| 43.2 | 2.096 | 18 | 0 0 8 |
| 46.1 | 1.969 | 30 | 4 0 0 |
| 54.8 | 1.674 | 20 | 2 2 8 |
| 56.7 | 1.623 | 37 | 4 2 4 |
| 65.0 | 1.435 | 20 | 4 0 8 |
| 67.3 | 1.392 | 12 | 4 4 0 |